DyPa2Te4: simulated X-ray diffraction stick pattern (CuKα), based on DFT lattice parameters and positions (GGA-PBE).
Kinematic intensities with the Lorentz-polarization factor, no thermal factor.

The 10 most intense peaks (2θ = 5–70°), in order of falling intensity:
| two_theta | Rel. int. |
| --- | --- |
| 33.92 | 100 |
| 60.69 | 38 |
| 16.79 | 12 |
| 48.77 | 12 |
| 11.85 | 9 |
| 29.24 | 7 |
| 48.64 | 6 |
| 26.66 | 5 |
| 45.40 | 4 |
| 38.10 | 3 |

Cell and atoms:
```
data_DyPa2Te4
_space_group_name_H-M_alt 'P -4 2 m'
_space_group_IT_number 111
_cell_length_a 7.469
_cell_length_b 7.469
_cell_length_c 3.744
_cell_angle_alpha 90.00
_cell_angle_beta 90.00
_cell_angle_gamma 90.00
loop_
_space_group_symop_operation_xyz
'x,y,z'
'y,-x,-z'
'-x,-y,z'
'-y,x,-z'
'x,-y,-z'
'y,x,z'
'-x,y,-z'
'-y,-x,z'
loop_
_atom_site_label
_atom_site_fract_x
_atom_site_fract_y
_atom_site_fract_z
Dy1 0.000 0.000 0.000
Pa1 0.000 0.500 0.000
Te1 0.249 0.249 0.494
```